The following is a simulated X-ray powder pattern of AlCoNO. It was derived from a cell relaxed with GGA+U, using a wavelength of 1.5418 Å.

Top 10 peaks for 2θ from 15° to 90°, in order of rising 2θ:
- hkl 0 1 1, 2θ 23.6, I 34
- hkl 0 2 0, 2θ 32.5, I 39
- hkl 1 1 0, 2θ 33.1, I 66
- hkl 0 0 2, 2θ 34.7, I 79
- hkl 0 2 1, 2θ 37.0, I 52
- hkl 1 1 1, 2θ 37.5, I 100
- hkl 1 1 2, 2θ 48.7, I 26
- hkl 1 3 0, 2θ 58.4, I 43
- hkl 1 1 3, 2θ 64.0, I 41
- hkl 1 3 2, 2θ 69.7, I 33

Atomic structure:
a b c (Å): 3.114 5.504 5.173
angles (deg): 90.00 90.00 90.00
Fractional positions:
1 Al 0.000 0.154 0.000
2 Al 0.000 0.846 0.500
3 Co 0.500 0.326 0.494
4 Co 0.500 0.674 0.994
5 N 0.000 0.152 0.356
6 N 0.000 0.848 0.856
7 O 0.500 0.312 0.898
8 O 0.500 0.688 0.398